Simulated powder diffraction line list
Compound: ScFeSn2
Radiation: Cu Kα
Structure: a structure optimized by DFT (GGA-PBE)
No peak broadening, texture or thermal motion is included.

Cell and atoms:
Lattice parameters (Å, degrees): 5.512 5.512 5.512 46.68 46.68 46.68
Fractional positions:
Sc 0.000 0.000 0.000
Fe 0.500 0.500 0.500
Sn 0.230 0.230 0.230
Sn 0.770 0.770 0.770

Largest 10 diffraction maxima, sorted by position, 5 to 70 degrees two-theta:
2θ (°)  d/Å  Rel. int.
18.10  4.901  17
26.50  3.364  31
34.01  2.636  100
38.78  2.322  12
41.34  2.184  70
45.46  1.995  10
49.64  1.836  14
49.78  1.832  7
54.56  1.682  26
55.59  1.653  13


Simulated powder diffraction line list
Compound: ScFeSn4
Radiation: Cu Kα
Structure: a structure optimized by DFT (GGA-PBE)
No peak broadening, texture or thermal motion is included.

Cell and atoms:
Lattice parameters (Å, degrees): 6.779 6.779 6.380 90.00 90.00 90.00
Fractional positions:
Sc 0.000 0.000 0.250
Sc 0.000 0.000 0.750
Fe 0.000 0.500 0.000
Fe 0.500 0.000 0.500
Sn 0.249 0.291 0.500
Sn 0.249 0.709 0.500
Sn 0.291 0.249 0.000
Sn 0.291 0.751 0.000
Sn 0.709 0.249 0.000
Sn 0.709 0.751 0.000
Sn 0.751 0.291 0.500
Sn 0.751 0.709 0.500

Largest 10 diffraction maxima, sorted by position, 5 to 70 degrees two-theta:
2θ (°)  d/Å  Rel. int.
26.29  3.390  85
27.97  3.190  76
32.70  2.738  25
37.52  2.397  78
38.76  2.323  100
42.44  2.130  22
47.44  1.916  56
54.11  1.695  22
62.00  1.497  20
68.53  1.369  21


Simulated powder diffraction line list
Compound: ScFe6Sn6
Radiation: Cu Kα
Structure: a structure optimized by DFT (GGA-PBE)
No peak broadening, texture or thermal motion is included.

Cell and atoms:
Lattice parameters (Å, degrees): 5.365 5.365 8.904 90.00 90.00 120.00
Fractional positions:
Sc 0.000 0.000 0.000
Fe 0.000 0.500 0.246
Fe 0.000 0.500 0.754
Fe 0.500 0.000 0.246
Fe 0.500 0.000 0.754
Fe 0.500 0.500 0.246
Fe 0.500 0.500 0.754
Sn 0.000 0.000 0.332
Sn 0.000 0.000 0.668
Sn 0.333 0.667 0.000
Sn 0.333 0.667 0.500
Sn 0.667 0.333 0.000
Sn 0.667 0.333 0.500

Largest 10 diffraction maxima, sorted by position, 5 to 70 degrees two-theta:
2θ (°)  d/Å  Rel. int.
27.75  3.215  30
33.40  2.683  100
35.90  2.501  34
38.76  2.323  24
39.21  2.298  83
40.53  2.226  27
43.96  2.060  99
45.17  2.007  38
59.70  1.549  20
67.99  1.379  23


Simulated powder diffraction line list
Compound: Sc2Ta2Fe
Radiation: Cu Kα
Structure: a structure optimized by DFT (GGA-PBE)
No peak broadening, texture or thermal motion is included.

Cell and atoms:
Lattice parameters (Å, degrees): 6.295 6.295 4.881 90.00 90.00 90.00
Fractional positions:
Sc 0.165 0.335 0.000
Sc 0.335 0.835 0.000
Sc 0.665 0.165 0.000
Sc 0.835 0.665 0.000
Ta 0.154 0.654 0.500
Ta 0.346 0.154 0.500
Ta 0.654 0.846 0.500
Ta 0.846 0.346 0.500
Fe 0.000 0.000 0.500
Fe 0.500 0.500 0.500

Largest 10 diffraction maxima, sorted by position, 5 to 70 degrees two-theta:
2θ (°)  d/Å  Rel. int.
18.17  4.881  51
19.95  4.451  5
31.79  2.815  21
36.85  2.439  100
45.57  1.991  17
49.44  1.844  26
59.97  1.543  14
62.61  1.484  5
63.89  1.457  9
66.36  1.409  16


Simulated powder diffraction line list
Compound: Sc3TaFe8
Radiation: Cu Kα
Structure: a structure optimized by DFT (GGA-PBE)
No peak broadening, texture or thermal motion is included.

Cell and atoms:
Lattice parameters (Å, degrees): 8.479 8.479 8.479 33.62 33.62 33.62
Fractional positions:
Sc 0.000 0.000 0.000
Sc 0.125 0.125 0.125
Sc 0.499 0.499 0.499
Ta 0.624 0.624 0.624
Fe 0.059 0.562 0.562
Fe 0.063 0.063 0.565
Fe 0.063 0.565 0.063
Fe 0.312 0.312 0.312
Fe 0.562 0.059 0.562
Fe 0.562 0.562 0.059
Fe 0.565 0.063 0.063
Fe 0.812 0.812 0.812

Largest 10 diffraction maxima, sorted by position, 5 to 70 degrees two-theta:
2θ (°)  d/Å  Rel. int.
11.07  7.992  20
21.25  4.182  13
22.22  4.001  8
25.71  3.465  8
28.07  3.179  6
36.67  2.450  36
38.40  2.344  6
43.30  2.090  100
45.33  2.001  32
66.01  1.415  9


Simulated powder diffraction line list
Compound: ScFe2Tc
Radiation: Cu Kα
Structure: a structure optimized by DFT (GGA-PBE)
No peak broadening, texture or thermal motion is included.

Cell and atoms:
Lattice parameters (Å, degrees): 2.719 4.132 5.290 90.00 104.54 90.00
Fractional positions:
Sc 0.000 0.000 0.000
Fe 0.262 0.500 0.726
Fe 0.738 0.500 0.274
Tc 0.500 0.000 0.500

Largest 10 diffraction maxima, sorted by position, 5 to 70 degrees two-theta:
2θ (°)  d/Å  Rel. int.
17.32  5.120  34
27.74  3.215  6
40.73  2.215  100
41.49  2.176  90
42.37  2.133  44
43.82  2.066  40
48.24  1.887  9
56.41  1.631  16
58.51  1.577  6
62.59  1.484  25